Computed X-ray diffraction stick pattern of K2Fe5 for Cu Kα (λ = 1.5418 Å), from a structure optimized by DFT (GGA-PBE).

Atomic structure:
```
data_K2Fe5
_cell_length_a 4.0382
_cell_length_b 4.0382
_cell_length_c 31.5300
_cell_angle_alpha 90.00
_cell_angle_beta 90.00
_cell_angle_gamma 120.00
_symmetry_space_group_name_H-M 'R 3 m'
_symmetry_Int_Tables_number 160
_symmetry_space_group_name_Hall 'R 3 -2"'
loop_
_atom_site_label
_atom_site_fract_x
_atom_site_fract_y
_atom_site_fract_z
K1 0.0000 0.0000 0.0000
K2 0.0000 0.0000 0.4299
Fe1 0.0000 0.0000 0.1848
Fe2 0.0000 0.0000 0.2573
Fe3 0.0000 0.0000 0.5443
Fe4 0.0000 0.0000 0.8299
Fe5 0.0000 0.0000 0.9012
```

Largest 10 diffraction maxima, in order of rising 2θ, 2θ = 10–80°:
hkl	Position (°2θ)	I (rel.)
0 0 6	16.87	23.3
0 1 5	29.20	18.3
1 0 7	32.41	25.9
0 1 8	34.28	22.5
0 1 11	40.70	75.7
1 1 0	44.89	100.0
1 1 3	45.76	49.1
0 1 14	48.05	32.0
0 1 17	56.13	26.6
2 0 11	62.19	19.2


Computed X-ray diffraction stick pattern of CdPbNO for Cu Kα (λ = 1.5418 Å), from a structure optimized by DFT (GGA-PBE).

Atomic structure:
```
data_CdPbNO
_cell_length_a 6.5133
_cell_length_b 7.4611
_cell_length_c 5.8739
_cell_angle_alpha 90.00
_cell_angle_beta 90.00
_cell_angle_gamma 90.00
_symmetry_space_group_name_H-M 'P c a 21'
_symmetry_Int_Tables_number 29
_symmetry_space_group_name_Hall 'P 2c -2ac'
loop_
_atom_site_label
_atom_site_fract_x
_atom_site_fract_y
_atom_site_fract_z
Cd1 0.0832 0.1295 0.0000
Pb1 0.0845 0.6343 0.0066
N1 0.0785 0.6222 0.6177
O1 0.0901 0.1132 0.6145
```

Largest 10 diffraction maxima, in order of rising 2θ, 2θ = 10–80°:
hkl	Position (°2θ)	I (rel.)
2 0 0	27.39	16.5
1 2 0	27.55	33.9
0 0 2	30.44	45.0
2 0 1	31.41	51.8
1 2 1	31.56	100.0
1 2 2	41.52	19.5
3 2 0	48.52	30.2
2 0 3	54.76	40.1
3 2 2	58.36	27.9
2 4 1	59.21	17.0


Computed X-ray diffraction stick pattern of Nd2Ni8P for Cu Kα (λ = 1.5418 Å), from a structure optimized by DFT (GGA-PBE).

Atomic structure:
```
data_Nd2Ni8P
_cell_length_a 3.9445
_cell_length_b 16.5287
_cell_length_c 4.8701
_cell_angle_alpha 90.00
_cell_angle_beta 90.00
_cell_angle_gamma 90.00
_symmetry_space_group_name_H-M 'A m m 2'
_symmetry_Int_Tables_number 38
_symmetry_space_group_name_Hall 'A 2 -2'
loop_
_atom_site_label
_atom_site_fract_x
_atom_site_fract_y
_atom_site_fract_z
Nd1 0.0000 0.1200 0.0000
Ni1 0.0000 0.0000 0.5004
Ni2 0.0000 0.2087 0.4995
Ni3 0.5000 0.0000 0.8226
Ni4 0.5000 0.1176 0.4978
Ni5 0.5000 0.2494 0.7499
P1 0.5000 0.0000 0.2787
```

Largest 10 diffraction maxima, in order of rising 2θ, 2θ = 10–80°:
hkl	Position (°2θ)	I (rel.)
1 1 1	29.64	25.3
1 4 0	31.35	20.1
0 5 1	32.74	23.9
1 3 1	33.45	35.9
1 5 1	40.12	100.0
0 4 2	43.12	30.5
1 0 2	43.69	38.5
0 8 0	43.82	24.3
2 0 0	46.02	37.5
1 5 3	68.66	19.1


Computed X-ray diffraction stick pattern of DyGaTc for Cu Kα (λ = 1.5418 Å), from a structure optimized by DFT (GGA-PBE).

Atomic structure:
```
data_DyGaTc
_cell_length_a 6.3238
_cell_length_b 6.3238
_cell_length_c 6.3238
_cell_angle_alpha 90.00
_cell_angle_beta 90.00
_cell_angle_gamma 90.00
_symmetry_space_group_name_H-M 'F -4 3 m'
_symmetry_Int_Tables_number 216
_symmetry_space_group_name_Hall 'F -4 2 3'
loop_
_atom_site_label
_atom_site_fract_x
_atom_site_fract_y
_atom_site_fract_z
Dy1 0.0000 0.0000 0.0000
Ga1 0.2500 0.2500 0.2500
Tc1 0.0000 0.0000 0.5000
```

Largest 10 diffraction maxima, in order of rising 2θ, 2θ = 10–80°:
hkl	Position (°2θ)	I (rel.)
1 1 1	24.38	19.7
2 0 0	28.22	41.1
2 2 0	40.34	100.0
3 1 1	47.70	10.0
2 2 2	49.96	11.3
4 0 0	58.37	16.7
3 3 1	64.20	4.1
4 2 0	66.07	14.7
4 2 2	73.34	33.5
5 1 1	78.61	3.1


Computed X-ray diffraction stick pattern of TbHoNi4 for Cu Kα (λ = 1.5418 Å), from a structure optimized by DFT (GGA-PBE).

Atomic structure:
```
data_TbHoNi4
_cell_length_a 7.1381
_cell_length_b 7.1381
_cell_length_c 7.1381
_cell_angle_alpha 90.00
_cell_angle_beta 90.00
_cell_angle_gamma 90.00
_symmetry_space_group_name_H-M 'F -4 3 m'
_symmetry_Int_Tables_number 216
_symmetry_space_group_name_Hall 'F -4 2 3'
loop_
_atom_site_label
_atom_site_fract_x
_atom_site_fract_y
_atom_site_fract_z
Tb1 0.0000 0.0000 0.0000
Ho1 0.2500 0.2500 0.2500
Ni1 0.1251 0.1251 0.6251
```

Largest 9 diffraction maxima, in order of rising 2θ, 2θ = 10–80°:
hkl	Position (°2θ)	I (rel.)
1 1 1	21.56	12.9
2 2 0	35.57	63.9
3 1 1	41.98	100.0
2 2 2	43.94	15.4
3 3 1	56.17	3.5
4 2 2	63.89	23.4
5 1 1	68.28	30.4
4 4 0	75.32	22.3
5 3 1	79.43	2.8


Computed X-ray diffraction stick pattern of TbPr for Cu Kα (λ = 1.5418 Å), from a structure optimized by DFT (GGA-PBE).

Atomic structure:
```
data_TbPr
_cell_length_a 3.6595
_cell_length_b 3.6595
_cell_length_c 5.9094
_cell_angle_alpha 90.00
_cell_angle_beta 90.00
_cell_angle_gamma 120.00
_symmetry_space_group_name_H-M 'P -6 m 2'
_symmetry_Int_Tables_number 187
_symmetry_space_group_name_Hall 'P -6 2'
loop_
_atom_site_label
_atom_site_fract_x
_atom_site_fract_y
_atom_site_fract_z
Tb1 0.0000 0.0000 0.0000
Pr1 0.3333 0.6667 0.5000
```

Largest 10 diffraction maxima, in order of rising 2θ, 2θ = 10–80°:
hkl	Position (°2θ)	I (rel.)
1 0 0	28.16	23.5
0 0 2	30.25	25.8
1 0 1	32.05	100.0
1 0 2	41.80	16.2
1 1 0	49.84	19.4
1 0 3	54.88	21.8
1 1 2	59.42	22.9
2 0 1	60.49	16.3
2 0 2	67.02	4.0
2 0 3	77.28	8.0


Computed X-ray diffraction stick pattern of K2Dy2Ge2O7 for Cu Kα (λ = 1.5418 Å), from a structure optimized by DFT (GGA-PBE).

Atomic structure:
```
data_K2Dy2Ge2O7
_cell_length_a 5.8546
_cell_length_b 5.8546
_cell_length_c 7.9016
_cell_angle_alpha 90.00
_cell_angle_beta 90.00
_cell_angle_gamma 120.00
_symmetry_space_group_name_H-M 'P -3'
_symmetry_Int_Tables_number 147
_symmetry_space_group_name_Hall '-P 3'
loop_
_atom_site_label
_atom_site_fract_x
_atom_site_fract_y
_atom_site_fract_z
K1 0.3333 0.6667 0.0933
Dy1 0.3333 0.6667 0.6534
Ge1 0.0000 0.0000 0.2708
O1 0.0000 0.0000 0.5000
O2 0.1198 0.3241 0.8008
```

Largest 10 diffraction maxima, in order of rising 2θ, 2θ = 10–80°:
hkl	Position (°2θ)	I (rel.)
1 0 1	20.82	82.9
0 0 2	22.50	21.9
1 0 2	28.64	88.6
1 1 0	30.54	100.0
0 2 2	42.36	39.4
2 -1 3	46.37	29.5
2 1 1	48.91	17.8
1 0 4	49.52	18.5
3 -1 2	53.12	30.6
3 0 0	54.28	20.8